The following is a simulated powder diffractogram of ICl. It was derived from a GGA-PBE-relaxed structure, using CuKα.

Principal peaks in the range 2θ = 10–80°, in order of rising 2θ:
2θ = 10.37°, 8.528 Å, intensity 70
2θ = 16.59°, 5.344 Å, intensity 48
2θ = 18.14°, 4.890 Å, intensity 100
2θ = 18.72°, 4.741 Å, intensity 76
2θ = 29.72°, 3.006 Å, intensity 43
2θ = 31.47°, 2.843 Å, intensity 36

Structural model:
```
data_ICl
_chemical_formula_sum 'I8 Cl8'
_space_group_name_H-M_alt 'P 1 21/c 1'
_space_group_IT_number 14
_space_group_name_Hall '-P 2ybc'
_cell_length_a 8.8266
_cell_length_b 6.8574
_cell_length_c 14.4379
_cell_angle_alpha 90.00
_cell_angle_beta 104.95
_cell_angle_gamma 90.00
loop_
_atom_site_label
_atom_site_fract_x
_atom_site_fract_y
_atom_site_fract_z
I1 0.1558 0.0162 0.2712
I2 0.1832 0.2278 0.1033
Cl1 0.1279 0.6691 0.9235
Cl2 0.4504 0.1402 0.1124
```